Diffraction record for V3OF11. The X-ray diffraction stick pattern is calculated, not measured: it uses a GGA+U-relaxed structure and Cu Kα X-rays.
Peak positions follow from Bragg's law for the DFT cell and can differ from measured ones.

Peak list (10 most intense, 2θ from 10° to 90°, in order of rising 2θ)
2θ 18.0, rel. 100.0, hkl 0 0 3
2θ 25.0, rel. 84.8, hkl 1 1 -1
2θ 25.1, rel. 82.7, hkl 1 -1 1
2θ 32.7, rel. 14.1, hkl 0 2 1
2θ 36.4, rel. 12.6, hkl 0 0 6
2θ 47.6, rel. 13.5, hkl 2 2 1
2θ 47.9, rel. 14.3, hkl -2 2 1
2θ 52.2, rel. 15.0, hkl 1 1 8
2θ 53.8, rel. 9.5, hkl 1 3 0
2θ 54.0, rel. 10.4, hkl 1 -3 0

Structure:
Cell lengths 5.2950, 5.4818, 15.0410 Å; angles 79.66, 89.75, 89.59 degrees
Space group P1 (No. 1)
Unique sites:
V: 0.0000 0.0000 0.0000
V: 0.9997 0.3323 0.3336
V: 0.4780 0.1118 0.6716
V: 0.5002 0.5001 0.0000
V: 0.4998 0.8324 0.3337
V: 0.9949 0.6366 0.6602
O: 0.0922 0.7295 0.5575
O: 0.2951 0.8696 0.6921
F: 0.0844 0.3742 0.2183
F: 0.0864 0.0431 0.8848
F: 0.2004 0.0247 0.3574
F: 0.2007 0.6924 0.0240
F: 0.2070 0.3586 0.6936
F: 0.2983 0.5258 0.3572
F: 0.2987 0.1935 0.0237
F: 0.4172 0.8751 0.2184
F: 0.4178 0.5429 0.8847
F: 0.4199 0.2304 0.5561
F: 0.5829 0.4578 0.1155
F: 0.5832 0.7915 0.4491
F: 0.5894 0.1396 0.7798
F: 0.7014 0.1395 0.3104
F: 0.7017 0.8075 0.9767
F: 0.7141 0.4681 0.6422
F: 0.7773 0.9611 0.6424
F: 0.7994 0.3074 0.9764
F: 0.7994 0.6399 0.3102
F: 0.9171 0.9584 0.1156
F: 0.9175 0.2908 0.4493
F: 0.9295 0.6527 0.7785

---

Diffraction record for BaEuDyWO6. The X-ray diffraction stick pattern is calculated, not measured: it uses a GGA+U-relaxed structure and Cu Kα X-rays.
Peak positions follow from Bragg's law for the DFT cell and can differ from measured ones.

Peak list (10 most intense, 2θ from 10° to 90°, in order of rising 2θ)
2θ 29.8, rel. 68.3, hkl 1 -1 2
2θ 30.0, rel. 100.0, hkl 1 1 -2
2θ 30.1, rel. 33.2, hkl 1 1 2
2θ 42.6, rel. 17.7, hkl 2 -2 0
2θ 42.8, rel. 18.0, hkl 0 0 4
2θ 43.2, rel. 17.0, hkl 2 2 0
2θ 53.0, rel. 28.5, hkl 1 -3 2
2θ 53.1, rel. 21.2, hkl 0 2 4
2θ 53.3, rel. 21.3, hkl 1 3 -2
2θ 70.3, rel. 11.6, hkl -1 1 6

Structure:
Cell lengths 5.9578, 5.9666, 8.4595 Å; angles 90.05, 90.29, 90.68 degrees
Space group P-1 (No. 2)
Unique sites:
Ba: 0.0192 0.0032 0.2514
Eu: 0.4755 0.5029 0.7504
Dy: 0.0000 0.5000 0.5000
Dy: 0.5000 0.0000 0.0000
W: 0.0000 0.5000 0.0000
W: 0.5000 0.0000 0.5000
O: 0.0148 0.4505 0.7621
O: 0.2112 0.7557 0.9699
O: 0.2402 0.7875 0.5338
O: 0.2739 0.2962 0.0339
O: 0.2988 0.2697 0.4697
O: 0.5003 0.0693 0.7366

---

Diffraction record for MgMn5O8. The X-ray diffraction stick pattern is calculated, not measured: it uses a GGA+U-relaxed structure and Cu Kα X-rays.
Peak positions follow from Bragg's law for the DFT cell and can differ from measured ones.

Peak list (10 most intense, 2θ from 10° to 90°, in order of rising 2θ)
2θ 17.8, rel. 57.7, hkl 1 1 0
2θ 28.6, rel. 23.7, hkl 2 0 0
2θ 32.2, rel. 75.7, hkl 1 1 1
2θ 35.4, rel. 100.0, hkl 3 1 -1
2θ 38.1, rel. 28.2, hkl 0 0 2
2θ 43.5, rel. 34.9, hkl 0 4 0
2θ 50.7, rel. 22.9, hkl 1 1 2
2θ 57.3, rel. 33.7, hkl 1 5 0
2θ 59.2, rel. 64.0, hkl 4 0 0
2θ 63.2, rel. 24.8, hkl 4 4 -2

Structure:
Cell lengths 8.3247, 8.3172, 6.2959 Å; angles 90.00, 131.35, 90.00 degrees
Space group C2 (No. 5)
Unique sites:
Mg: 0.0000 0.0000 0.0000
Mn: 0.9996 0.3748 0.2496
Mn: 0.0000 0.7502 0.5000
Mn: 0.2493 0.1262 0.7510
O: 0.0074 0.1372 0.7417
O: 0.0072 0.6112 0.2358
O: 0.2288 0.3896 0.2352
O: 0.2340 0.3635 0.7421

---

Diffraction record for Li3Fe4O3F5. The X-ray diffraction stick pattern is calculated, not measured: it uses a GGA+U-relaxed structure and Cu Kα X-rays.
Peak positions follow from Bragg's law for the DFT cell and can differ from measured ones.

Peak list (10 most intense, 2θ from 10° to 90°, in order of rising 2θ)
2θ 17.6, rel. 55.7, hkl 0 1 -1
2θ 18.0, rel. 91.9, hkl 1 -1 0
2θ 20.1, rel. 47.1, hkl 0 1 0
2θ 20.8, rel. 47.1, hkl 1 -1 1
2θ 29.2, rel. 47.1, hkl -1 1 1
2θ 34.8, rel. 30.5, hkl -2 1 1
2θ 40.9, rel. 100.0, hkl 0 2 0
2θ 42.1, rel. 93.5, hkl 2 0 -2
2θ 42.3, rel. 87.0, hkl 2 -2 2
2θ 60.5, rel. 74.2, hkl -2 2 2

Structure:
Cell lengths 6.0020, 6.1209, 6.1226 Å; angles 119.94, 90.28, 118.65 degrees
Space group P1 (No. 1)
Unique sites:
Li: 0.0000 0.0000 0.0000
Li: 0.0049 0.4937 0.4894
Li: 0.4991 0.9956 0.9940
Fe: 0.0181 0.4956 0.0165
Fe: 0.4790 0.4955 0.4796
Fe: 0.4864 0.4907 0.0030
Fe: 0.9977 0.9911 0.4938
O: 0.2260 0.4526 0.2281
O: 0.2271 0.4461 0.7245
O: 0.7647 0.5328 0.2620
F: 0.2450 0.9857 0.2149
F: 0.2451 0.9939 0.7655
F: 0.7420 0.9730 0.2127
F: 0.7459 0.9873 0.7670
F: 0.7658 0.5259 0.7575

---

Diffraction record for MgCrAs2O7. The X-ray diffraction stick pattern is calculated, not measured: it uses a GGA+U-relaxed structure and Cu Kα X-rays.
Peak positions follow from Bragg's law for the DFT cell and can differ from measured ones.

Peak list (10 most intense, 2θ from 10° to 90°, in order of rising 2θ)
2θ 18.9, rel. 5.7, hkl 1 0 -2
2θ 20.5, rel. 12.1, hkl 0 2 0
2θ 22.0, rel. 5.3, hkl 1 1 1
2θ 28.0, rel. 100.0, hkl 1 0 2
2θ 33.7, rel. 17.0, hkl 2 2 0
2θ 34.9, rel. 9.2, hkl 1 2 2
2θ 41.5, rel. 5.1, hkl 3 1 0
2θ 45.6, rel. 8.0, hkl 0 2 4
2θ 54.9, rel. 9.4, hkl 3 3 -4
2θ 65.8, rel. 5.6, hkl 2 3 -6

Structure:
Cell lengths 7.3651, 8.6631, 9.7807 Å; angles 90.00, 113.66, 90.00 degrees
Space group P2_1/c (No. 14)
Unique sites:
Mg: 0.2311 0.0716 0.1048
Cr: 0.2990 0.0565 0.6649
As: 0.0610 0.7247 0.7488
As: 0.4682 0.7265 0.0372
O: 0.0262 0.5979 0.6070
O: 0.1366 0.2383 0.7006
O: 0.1439 0.5991 0.2315
O: 0.2441 0.6367 0.9120
O: 0.3678 0.2364 0.5473
O: 0.4308 0.5989 0.5986
O: 0.4740 0.0863 0.3284

---

Diffraction record for Tl3VF6. The X-ray diffraction stick pattern is calculated, not measured: it uses a GGA+U-relaxed structure and Cu Kα X-rays.
Peak positions follow from Bragg's law for the DFT cell and can differ from measured ones.

Peak list (10 most intense, 2θ from 10° to 90°, in order of rising 2θ)
2θ 16.6, rel. 7.6, hkl 1 1 1
2θ 27.3, rel. 100.0, hkl 2 2 0
2θ 32.1, rel. 8.4, hkl 3 1 1
2θ 33.6, rel. 6.8, hkl 2 2 2
2θ 39.0, rel. 29.1, hkl 4 0 0
2θ 48.2, rel. 41.6, hkl 4 2 2
2θ 56.3, rel. 18.7, hkl 4 4 0
2θ 63.7, rel. 20.7, hkl 6 2 0
2θ 70.6, rel. 6.0, hkl 4 4 4
2θ 77.2, rel. 23.0, hkl 6 4 2

Structure:
Cell lengths 9.2438, 9.2438, 9.2438 Å; angles 90.00, 90.00, 90.00 degrees
Space group Fm-3m (No. 225)
Unique sites:
Tl: 0.0000 0.0000 0.0000
Tl: 0.2500 0.2500 0.2500
V: 0.0000 0.0000 0.5000
F: 0.0000 0.0000 0.2864

---

Diffraction record for Li7Mn8B8O24. The X-ray diffraction stick pattern is calculated, not measured: it uses a GGA+U-relaxed structure and Cu Kα X-rays.
Peak positions follow from Bragg's law for the DFT cell and can differ from measured ones.

Peak list (10 most intense, 2θ from 10° to 90°, in order of rising 2θ)
2θ 19.5, rel. 48.5, hkl 0 2 1
2θ 21.3, rel. 31.2, hkl 0 2 2
2θ 21.4, rel. 50.0, hkl 1 -1 1
2θ 25.4, rel. 20.5, hkl 1 1 -1
2θ 25.6, rel. 20.6, hkl -1 1 2
2θ 26.2, rel. 25.2, hkl 1 1 3
2θ 33.9, rel. 43.0, hkl 1 3 2
2θ 34.3, rel. 100.0, hkl 0 0 4
2θ 40.6, rel. 20.0, hkl 0 4 3
2θ 48.3, rel. 23.6, hkl 1 -1 5

Structure:
Cell lengths 5.2857, 9.1031, 11.6282 Å; angles 67.16, 78.33, 89.53 degrees
Space group P1 (No. 1)
Unique sites:
Li: 0.0000 0.0000 0.0000
Li: 0.0569 0.3956 0.2475
Li: 0.3020 0.6194 0.7411
Li: 0.4932 0.4962 0.0078
Li: 0.5584 0.8964 0.2518
Li: 0.7404 0.7515 0.4997
Li: 0.8031 0.1135 0.7495
Mn: 0.0434 0.6989 0.2866
Mn: 0.2226 0.9231 0.5347
Mn: 0.2857 0.2795 0.7757
Mn: 0.4861 0.8230 0.0345
Mn: 0.5340 0.2105 0.2870
Mn: 0.7462 0.3946 0.5299
Mn: 0.7844 0.7621 0.7881
Mn: 0.9847 0.3212 0.0317
B: 0.0167 0.0334 0.2969
B: 0.2369 0.5727 0.5392
B: 0.2782 0.9438 0.7849
B: 0.4834 0.1534 0.0414
B: 0.5374 0.5388 0.2835
B: 0.7380 0.0476 0.5442
B: 0.7707 0.4343 0.7920
B: 0.9880 0.6546 0.0401
O: 0.0028 0.5915 0.4976
O: 0.0163 0.4362 0.8211
O: 0.0776 0.7746 0.0727
O: 0.1178 0.0529 0.8075
O: 0.1239 0.5215 0.0528
O: 0.1975 0.8434 0.7279
O: 0.2519 0.0111 0.3422
O: 0.2543 0.1647 0.9978
O: 0.3455 0.4268 0.5750
O: 0.3594 0.7011 0.5494
O: 0.3896 0.4208 0.2774
O: 0.4535 0.6939 0.2500
O: 0.5162 0.9237 0.8204
O: 0.5228 0.0702 0.4894
O: 0.5708 0.2728 0.0758
O: 0.6058 0.5489 0.8063
O: 0.6249 0.0207 0.0576
O: 0.6950 0.3180 0.7535
O: 0.7594 0.6702 0.9940
O: 0.7772 0.5068 0.3196
O: 0.8384 0.8944 0.5754
O: 0.8521 0.1638 0.5652
O: 0.8757 0.9023 0.3056
O: 0.9404 0.1877 0.2481

---

Diffraction record for MgNi4O8. The X-ray diffraction stick pattern is calculated, not measured: it uses a GGA+U-relaxed structure and Cu Kα X-rays.
Peak positions follow from Bragg's law for the DFT cell and can differ from measured ones.

Peak list (10 most intense, 2θ from 10° to 90°, in order of rising 2θ)
2θ 11.5, rel. 68.7, hkl 0 0 1
2θ 12.2, rel. 100.0, hkl 2 0 -1
2θ 15.5, rel. 71.1, hkl 2 0 0
2θ 18.1, rel. 42.9, hkl 2 0 -2
2θ 24.6, rel. 21.1, hkl 2 0 1
2θ 25.6, rel. 16.1, hkl 4 0 -1
2θ 36.7, rel. 37.9, hkl 4 0 -4
2θ 37.2, rel. 25.2, hkl 3 1 -2
2θ 37.4, rel. 16.2, hkl 6 0 -2
2θ 39.1, rel. 27.3, hkl 3 1 0

Structure:
Cell lengths 14.6272, 2.8931, 9.8202 Å; angles 90.00, 128.61, 90.00 degrees
Space group Cm (No. 8)
Unique sites:
Mg: 0.0000 0.0000 0.0000
Ni: 0.1373 0.0000 0.4372
Ni: 0.2012 0.5000 0.1888
Ni: 0.2842 0.5000 0.7606
Ni: 0.3534 0.0000 0.1330
O: 0.0316 0.5000 0.3291
O: 0.1447 0.0000 0.2529
O: 0.1604 0.0000 0.0297
O: 0.1767 0.0000 0.6731
O: 0.2452 0.5000 0.5416
O: 0.3551 0.5000 0.2607
O: 0.3558 0.5000 0.0074
O: 0.3970 0.0000 0.8328